# 1
Computed PXRD pattern
Compound: SrAcPmTm
Radiation: Cu Kα X-rays
Structure: the GGA-PBE geometry in Alexandria
Kinematic intensities with the Lorentz-polarization factor, no thermal factor.

Structure:
a = 8.5730 Å, b = 8.5730 Å, c = 8.5730 Å
α = 90.00°, β = 90.00°, γ = 90.00°
Fractional positions:
Sr1 0.0000 0.0000 0.0000
Sr2 0.0000 0.5000 0.5000
Sr3 0.5000 0.0000 0.5000
Sr4 0.5000 0.5000 0.0000
Ac1 0.2500 0.2500 0.7500
Ac2 0.2500 0.7500 0.2500
Ac3 0.7500 0.2500 0.2500
Ac4 0.7500 0.7500 0.7500
Pm1 0.2500 0.2500 0.2500
Pm2 0.2500 0.7500 0.7500
Pm3 0.7500 0.2500 0.7500
Pm4 0.7500 0.7500 0.2500
Tm1 0.0000 0.0000 0.5000
Tm2 0.0000 0.5000 0.0000
Tm3 0.5000 0.0000 0.0000
Tm4 0.5000 0.5000 0.5000

Main lines, in order of rising 2θ (2θ = 10–90°):
2theta  intensity
17.92  6
20.72  4
29.47  100
34.70  4
42.16  19
52.28  41
61.15  13
69.32  18
77.07  4
84.59  21



# 2
Computed PXRD pattern
Compound: Ac3Tb3Pm
Radiation: Cu Kα X-rays
Structure: the GGA-PBE geometry in Alexandria
Kinematic intensities with the Lorentz-polarization factor, no thermal factor.

Structure:
a = 8.4191 Å, b = 8.4191 Å, c = 8.4191 Å
α = 72.44°, β = 72.44°, γ = 72.44°
Fractional positions:
Ac1 0.1756 0.4568 0.6153
Ac2 0.3847 0.8244 0.5432
Ac3 0.4568 0.6153 0.1756
Ac4 0.5432 0.3847 0.8244
Ac5 0.6153 0.1756 0.4568
Ac6 0.8244 0.5432 0.3847
Tb1 0.0324 0.9002 0.3159
Tb2 0.0998 0.6841 0.9676
Tb3 0.3159 0.0324 0.9002
Tb4 0.6841 0.9676 0.0998
Tb5 0.9002 0.3159 0.0324
Tb6 0.9676 0.0998 0.6841
Pm1 0.2431 0.2431 0.2431
Pm2 0.7569 0.7569 0.7569

Main lines, in order of rising 2θ (2θ = 10–90°):
2theta  intensity
29.06  100
33.68  51
48.37  37
57.41  33
57.47  11
60.27  9
78.24  9
78.37  9
80.69  8
80.81  8



# 3
Computed PXRD pattern
Compound: Ac12Tb6Pm
Radiation: Cu Kα X-rays
Structure: the GGA-PBE geometry in Alexandria
Kinematic intensities with the Lorentz-polarization factor, no thermal factor.

Structure:
a = 9.8427 Å, b = 9.8427 Å, c = 9.8427 Å
α = 106.52°, β = 106.52°, γ = 106.52°
Fractional positions:
Ac1 0.1299 0.2709 0.8319
Ac2 0.1681 0.8701 0.7291
Ac3 0.1909 0.4803 0.5786
Ac4 0.2709 0.8319 0.1299
Ac5 0.4214 0.8091 0.5197
Ac6 0.4803 0.5786 0.1909
Ac7 0.5197 0.4214 0.8091
Ac8 0.5786 0.1909 0.4803
Ac9 0.7291 0.1681 0.8701
Ac10 0.8091 0.5197 0.4214
Ac11 0.8319 0.1299 0.2709
Ac12 0.8701 0.7291 0.1681
Tb1 0.0743 0.4646 0.1882
Tb2 0.1882 0.0743 0.4646
Tb3 0.4646 0.1882 0.0743
Tb4 0.5354 0.8118 0.9257
Tb5 0.8118 0.9257 0.5354
Tb6 0.9257 0.5354 0.8118
Pm1 0.0000 0.0000 0.0000

Main lines, in order of rising 2θ (2θ = 10–90°):
2theta  intensity
19.49  15
26.42  39
29.97  100
30.98  58
33.04  35
38.65  13
48.22  24
53.22  14
56.52  19
58.33  29



# 4
Computed PXRD pattern
Compound: AcTb8Pm6
Radiation: Cu Kα X-rays
Structure: the GGA-PBE geometry in Alexandria
Kinematic intensities with the Lorentz-polarization factor, no thermal factor.

Structure:
a = 8.6656 Å, b = 8.6656 Å, c = 8.6656 Å
α = 65.40°, β = 65.40°, γ = 65.40°
Fractional positions:
Ac1 0.0000 0.0000 0.0000
Tb1 0.0833 0.7746 0.6470
Tb2 0.2254 0.3530 0.9167
Tb3 0.3530 0.9167 0.2254
Tb4 0.4295 0.4295 0.4295
Tb5 0.5705 0.5705 0.5705
Tb6 0.6470 0.0833 0.7746
Tb7 0.7746 0.6470 0.0833
Tb8 0.9167 0.2254 0.3530
Pm1 0.1062 0.5491 0.2690
Pm2 0.2690 0.1062 0.5491
Pm3 0.4509 0.7310 0.8938
Pm4 0.5491 0.2690 0.1062
Pm5 0.7310 0.8938 0.4509
Pm6 0.8938 0.4509 0.7310

Main lines, in order of rising 2θ (2θ = 10–90°):
2theta  intensity
26.32  20
30.47  100
31.16  14
32.77  16
34.17  51
51.66  25
54.19  10
58.91  17
61.17  13
84.11  10



# 5
Computed PXRD pattern
Compound: Ac6Tb4Pm
Radiation: Cu Kα X-rays
Structure: the GGA-PBE geometry in Alexandria
Kinematic intensities with the Lorentz-polarization factor, no thermal factor.

Structure:
a = 9.5529 Å, b = 9.5529 Å, c = 7.1118 Å
α = 96.07°, β = 96.07°, γ = 43.40°
Fractional positions:
Ac1 0.0000 0.0000 0.0000
Ac2 0.0369 0.3350 0.7832
Ac3 0.0937 0.6734 0.6037
Ac4 0.3266 0.9063 0.3963
Ac5 0.6650 0.9631 0.2168
Ac6 0.6872 0.3128 0.5000
Tb1 0.1975 0.4902 0.1210
Tb2 0.5098 0.8025 0.8790
Tb3 0.5272 0.1285 0.7211
Tb4 0.8715 0.4728 0.2789
Pm1 0.5258 0.4742 0.0000

Main lines, in order of rising 2θ (2θ = 10–90°):
2theta  intensity
22.41  13
22.52  10
27.20  12
28.26  100
29.54  16
30.41  19
30.55  36
30.73  35
32.48  10
35.80  12



# 6
Computed PXRD pattern
Compound: Ac2Tb5Pm5
Radiation: Cu Kα X-rays
Structure: the GGA-PBE geometry in Alexandria
Kinematic intensities with the Lorentz-polarization factor, no thermal factor.

Structure:
a = 8.2340 Å, b = 8.2340 Å, c = 11.6144 Å
α = 115.28°, β = 115.28°, γ = 36.60°
Fractional positions:
Ac1 0.0828 0.0828 0.2503
Ac2 0.9172 0.9172 0.7497
Tb1 0.3340 0.3340 0.4978
Tb2 0.4139 0.4139 0.2500
Tb3 0.5000 0.5000 0.0000
Tb4 0.5861 0.5861 0.7500
Tb5 0.6660 0.6660 0.5022
Pm1 0.0000 0.0000 0.5000
Pm2 0.1685 0.1685 0.0005
Pm3 0.2453 0.2453 0.7474
Pm4 0.7547 0.7547 0.2526
Pm5 0.8315 0.8315 0.9995

Main lines, in order of rising 2θ (2θ = 10–90°):
2theta  intensity
29.82  100
34.42  17
34.59  17
34.70  17
49.59  12
49.67  12
58.83  15
59.06  15
59.20  15
61.94  13



# 7
Computed PXRD pattern
Compound: Ac15TbPm4
Radiation: Cu Kα X-rays
Structure: the GGA-PBE geometry in Alexandria
Kinematic intensities with the Lorentz-polarization factor, no thermal factor.

Structure:
a = 5.5292 Å, b = 5.5292 Å, c = 27.5079 Å
α = 90.00°, β = 90.00°, γ = 90.00°
Fractional positions:
Ac1 0.0000 0.0000 0.0000
Ac2 0.0000 0.0000 0.1995
Ac3 0.0000 0.0000 0.3999
Ac4 0.0000 0.0000 0.6001
Ac5 0.0000 0.0000 0.8005
Ac6 0.0000 0.5000 0.0993
Ac7 0.0000 0.5000 0.2997
Ac8 0.0000 0.5000 0.5000
Ac9 0.0000 0.5000 0.7003
Ac10 0.0000 0.5000 0.9007
Ac11 0.5000 0.0000 0.0993
Ac12 0.5000 0.0000 0.2997
Ac13 0.5000 0.0000 0.5000
Ac14 0.5000 0.0000 0.7003
Ac15 0.5000 0.0000 0.9007
Tb1 0.5000 0.5000 0.0000
Pm1 0.5000 0.5000 0.1995
Pm2 0.5000 0.5000 0.3999
Pm3 0.5000 0.5000 0.6001
Pm4 0.5000 0.5000 0.8005

Main lines, in order of rising 2θ (2θ = 10–90°):
2theta  intensity
28.00  100
32.38  34
32.55  17
46.45  13
46.58  26
55.11  31
55.33  16
57.87  14
75.06  13
77.19  12



# 8
Computed PXRD pattern
Compound: Ac2Tb6Pm3
Radiation: Cu Kα X-rays
Structure: the GGA-PBE geometry in Alexandria
Kinematic intensities with the Lorentz-polarization factor, no thermal factor.

Structure:
a = 6.2765 Å, b = 6.2765 Å, c = 12.0470 Å
α = 94.97°, β = 94.97°, γ = 120.09°
Fractional positions:
Ac1 0.1668 0.8332 0.0000
Ac2 0.8332 0.1668 0.0000
Tb1 0.0814 0.4140 0.7426
Tb2 0.2533 0.2533 0.2575
Tb3 0.4140 0.0814 0.7426
Tb4 0.5860 0.9186 0.2574
Tb5 0.7467 0.7467 0.7425
Tb6 0.9186 0.5860 0.2574
Pm1 0.0000 0.0000 0.5000
Pm2 0.3356 0.6644 0.5000
Pm3 0.6644 0.3356 0.5000

Main lines, in order of rising 2θ (2θ = 10–90°):
2theta  intensity
30.18  100
30.23  33
35.00  68
50.30  32
50.41  16
59.76  24
59.87  34
62.82  13
81.88  10
84.42  11



# 9
Computed PXRD pattern
Compound: Ac2Tb4Pm3
Radiation: Cu Kα X-rays
Structure: the GGA-PBE geometry in Alexandria
Kinematic intensities with the Lorentz-polarization factor, no thermal factor.

Structure:
a = 6.3594 Å, b = 6.3970 Å, c = 8.2558 Å
α = 82.32°, β = 75.11°, γ = 80.45°
Fractional positions:
Ac1 0.1702 0.3291 0.3293
Ac2 0.8298 0.6709 0.6707
Tb1 0.2767 0.5542 0.8886
Tb2 0.3936 0.7745 0.4439
Tb3 0.6064 0.2255 0.5561
Tb4 0.7233 0.4458 0.1114
Pm1 0.0610 0.1111 0.7827
Pm2 0.5000 0.0000 0.0000
Pm3 0.9390 0.8889 0.2173

Main lines, in order of rising 2θ (2θ = 10–90°):
2theta  intensity
29.62  100
29.75  99
34.33  34
34.45  67
49.26  12
49.43  37
49.61  24
58.60  15
58.74  29
58.85  29



# 10
Computed PXRD pattern
Compound: Ac19Tb6Pm4
Radiation: Cu Kα X-rays
Structure: the GGA-PBE geometry in Alexandria
Kinematic intensities with the Lorentz-polarization factor, no thermal factor.

Structure:
a = 11.7685 Å, b = 11.7685 Å, c = 11.7685 Å
α = 109.47°, β = 109.47°, γ = 109.47°
Fractional positions:
Ac1 0.0000 0.0000 0.0000
Ac2 0.0000 0.2673 0.2673
Ac3 0.0000 0.7327 0.7327
Ac4 0.0014 0.7831 0.3417
Ac5 0.2169 0.2183 0.5585
Ac6 0.2183 0.5585 0.2169
Ac7 0.2673 0.0000 0.2673
Ac8 0.2673 0.2673 0.0000
Ac9 0.3403 0.7817 0.9986
Ac10 0.3417 0.0014 0.7831
Ac11 0.4415 0.6597 0.6583
Ac12 0.5585 0.2169 0.2183
Ac13 0.6583 0.4415 0.6597
Ac14 0.6597 0.6583 0.4415
Ac15 0.7327 0.0000 0.7327
Ac16 0.7327 0.7327 0.0000
Ac17 0.7817 0.9986 0.3403
Ac18 0.7831 0.3417 0.0014
Ac19 0.9986 0.3403 0.7817
Tb1 0.1155 0.6155 0.5000
Tb2 0.3845 0.5000 0.8845
Tb3 0.5000 0.1155 0.6155
Tb4 0.5000 0.8845 0.3845
Tb5 0.6155 0.5000 0.1155
Tb6 0.8845 0.3845 0.5000
Pm1 0.0000 0.0000 0.6464
Pm2 0.0000 0.6464 0.0000
Pm3 0.3536 0.3536 0.3536
Pm4 0.6464 0.0000 0.0000

Main lines, in order of rising 2θ (2θ = 10–90°):
2theta  intensity
24.51  40
26.23  52
27.85  100
32.27  27
33.63  59
38.63  24
47.30  20
49.28  30
54.89  30
55.79  18



# 11
Computed PXRD pattern
Compound: AcTb12Pm2
Radiation: Cu Kα X-rays
Structure: the GGA-PBE geometry in Alexandria
Kinematic intensities with the Lorentz-polarization factor, no thermal factor.

Structure:
a = 6.7095 Å, b = 6.7095 Å, c = 24.7066 Å
α = 92.25°, β = 92.25°, γ = 115.11°
Fractional positions:
Ac1 0.2500 0.2500 0.0000
Ac2 0.7500 0.7500 0.0000
Tb1 0.0509 0.5507 0.2036
Tb2 0.0826 0.5832 0.3322
Tb3 0.1370 0.6385 0.5547
Tb4 0.1428 0.1428 0.5710
Tb5 0.2150 0.2150 0.8585
Tb6 0.2313 0.7313 0.9223
Tb7 0.2687 0.7687 0.0777
Tb8 0.2850 0.2850 0.1414
Tb9 0.3586 0.3586 0.4283
Tb10 0.3615 0.8630 0.4453
Tb11 0.4168 0.9174 0.6678
Tb12 0.4493 0.9491 0.7964
Tb13 0.5507 0.0509 0.2036
Tb14 0.5832 0.0826 0.3322
Tb15 0.6385 0.1370 0.5547
Tb16 0.6414 0.6414 0.5717
Tb17 0.7150 0.7150 0.8586
Tb18 0.7313 0.2313 0.9223
Tb19 0.7687 0.2687 0.0777
Tb20 0.7850 0.7850 0.1415
Tb21 0.8572 0.8572 0.4290
Tb22 0.8630 0.3615 0.4453
Tb23 0.9174 0.4168 0.6678
Tb24 0.9491 0.4493 0.7964
Pm1 0.0694 0.0694 0.2758
Pm2 0.4314 0.4314 0.7243
Pm3 0.5686 0.5686 0.2757
Pm4 0.9306 0.9306 0.7242

Main lines, in order of rising 2θ (2θ = 10–90°):
2theta  intensity
29.90  100
30.80  40
31.60  62
31.89  37
32.09  52
33.11  25
45.51  28
59.04  20
60.00  19
61.01  19



# 12
Computed PXRD pattern
Compound: AcTb7Pm3
Radiation: Cu Kα X-rays
Structure: the GGA-PBE geometry in Alexandria
Kinematic intensities with the Lorentz-polarization factor, no thermal factor.

Structure:
a = 8.5337 Å, b = 8.5337 Å, c = 8.5337 Å
α = 138.59°, β = 97.66°, γ = 96.70°
Fractional positions:
Ac1 0.0000 0.0000 0.0000
Tb1 0.0000 0.5000 0.5000
Tb2 0.0965 0.7876 0.3089
Tb3 0.3050 0.3050 0.0000
Tb4 0.4787 0.7876 0.6911
Tb5 0.5213 0.2124 0.3089
Tb6 0.6950 0.6950 0.0000
Tb7 0.9035 0.2124 0.6911
Pm1 0.2865 0.5000 0.7865
Pm2 0.5000 0.0000 0.5000
Pm3 0.7135 0.5000 0.2135

Main lines, in order of rising 2θ (2θ = 10–90°):
2theta  intensity
24.85  15
28.04  12
29.61  45
31.55  19
31.86  14
32.21  100
43.82  16
44.05  12
54.20  24
61.50  16